Sn3P6WO24: computed powder diffraction line list (Cu Kα X-rays), based on a structure optimized by DFT (PBE+U).
Neutral-atom scattering factors, no anomalous dispersion.

Most intense lines, 5 to 70 degrees two-theta, sorted by position:
- (0 1 2), 14.20°, d = 6.237 Å, intensity 453
- (1 0 4), 19.64°, d = 4.520 Å, intensity 1000
- (1 1 0), 20.62°, d = 4.308 Å, intensity 758
- (2 -1 3), 23.76°, d = 3.745 Å, intensity 361
- (0 2 4), 28.62°, d = 3.119 Å, intensity 590
- (2 -1 6), 31.45°, d = 2.844 Å, intensity 527

Structural model:
a = 8.6160 Å, b = 8.6160 Å, c = 22.7244 Å
α = 90.00°, β = 90.00°, γ = 120.00°
Space group R3 (No. 146, hexagonal axes)
Asymmetric unit:
Sn 0.0000 0.0000 0.0000 (multiplicity 3)
Sn 0.0000 0.0000 0.2125 (multiplicity 3)
Sn 0.0000 0.0000 0.7077 (multiplicity 3)
P 0.0000 0.2879 0.6064 (multiplicity 9)
P 0.0023 0.7185 0.1044 (multiplicity 9)
W 0.0000 0.0000 0.4986 (multiplicity 3)
O 0.0022 0.8204 0.4489 (multiplicity 9)
O 0.0055 0.1862 0.5485 (multiplicity 9)
O 0.0578 0.8428 0.7600 (multiplicity 9)
O 0.0743 0.8511 0.0529 (multiplicity 9)
O 0.1437 0.6777 0.8290 (multiplicity 9)
O 0.1535 0.4639 0.9308 (multiplicity 9)
O 0.1815 0.4449 0.3235 (multiplicity 9)
O 0.1925 0.4428 0.6148 (multiplicity 9)

---

SnP6W3O24: computed powder diffraction line list (Cu Kα X-rays), based on a structure optimized by DFT (PBE+U).
Neutral-atom scattering factors, no anomalous dispersion.

Most intense lines, 5 to 70 degrees two-theta, sorted by position:
- (0 1 2), 14.09°, d = 6.286 Å, intensity 318
- (1 0 4), 19.78°, d = 4.488 Å, intensity 1000
- (1 1 0), 20.17°, d = 4.403 Å, intensity 856
- (0 2 4), 28.39°, d = 3.143 Å, intensity 556
- (1 1 6), 31.58°, d = 2.833 Å, intensity 415
- (2 1 4), 35.08°, d = 2.558 Å, intensity 362

Structural model:
a = 8.8064 Å, b = 8.8064 Å, c = 22.2067 Å
α = 90.00°, β = 90.00°, γ = 120.00°
Space group R3 (No. 146, hexagonal axes)
Asymmetric unit:
Sn 0.0000 0.0000 0.0000 (multiplicity 3)
P 0.0017 0.2869 0.1068 (multiplicity 9)
P 0.0036 0.7134 0.6072 (multiplicity 9)
W 0.0000 0.0000 0.2154 (multiplicity 3)
W 0.0000 0.0000 0.5005 (multiplicity 3)
W 0.0000 0.0000 0.7133 (multiplicity 3)
O 0.0156 0.8207 0.5500 (multiplicity 9)
O 0.0211 0.8236 0.2698 (multiplicity 9)
O 0.0280 0.1982 0.7641 (multiplicity 9)
O 0.0451 0.2138 0.0510 (multiplicity 9)
O 0.1563 0.4601 0.8302 (multiplicity 9)
O 0.1573 0.6883 0.3305 (multiplicity 9)
O 0.1581 0.4754 0.1157 (multiplicity 9)
O 0.1763 0.7130 0.6108 (multiplicity 9)

---

SnP2WO8: computed powder diffraction line list (Cu Kα X-rays), based on a structure optimized by DFT (PBE+U).
Neutral-atom scattering factors, no anomalous dispersion.

Most intense lines, 5 to 70 degrees two-theta, sorted by position:
- (1 1 0), 19.67°, d = 4.513 Å, intensity 1000
- (2 0 0), 21.49°, d = 4.134 Å, intensity 533
- (1 1 -2), 30.66°, d = 2.916 Å, intensity 679
- (1 1 2), 30.99°, d = 2.885 Å, intensity 586
- (0 2 0), 33.27°, d = 2.693 Å, intensity 293
- (3 1 0), 36.63°, d = 2.454 Å, intensity 453

Structural model:
a = 8.2702 Å, b = 5.3856 Å, c = 7.5745 Å
α = 90.00°, β = 91.12°, γ = 90.00°
Space group C2/m (No. 12)
Asymmetric unit:
Sn 0.0000 0.0000 0.0000 (multiplicity 2)
P 0.1419 0.5000 0.2771 (multiplicity 4)
W 0.0000 0.0000 0.5000 (multiplicity 2)
O 0.0339 0.2621 0.2979 (multiplicity 8)
O 0.2155 0.5000 0.0953 (multiplicity 4)
O 0.2372 0.0000 0.5632 (multiplicity 4)